1.
This entry pairs a crystal structure of NdSm2Y2Sc with its simulated powder diffraction line list. Radiation: Cu Kα X-rays. Structure: a DFT-relaxed cell (GGA-PBE, Alexandria).

Peak list (8 most intense, 2θ from 15° to 90°, low angle first)
2theta  I/Imax
28.50  26
31.51  37
32.55  53
32.65  100
42.97  25
50.32  19
56.81  31
60.59  22

Atomic structure:
```
data_NdSm2Y2Sc
_cell_length_a 5.679
_cell_length_b 10.833
_cell_length_c 6.290
_cell_angle_alpha 90.00
_cell_angle_beta 90.00
_cell_angle_gamma 90.00
_space_group_name_H-M_alt 'P 1'
_space_group_IT_number 1
loop_
_space_group_symop_operation_xyz
'x,y,z'
loop_
_atom_site_label
_atom_site_fract_x
_atom_site_fract_y
_atom_site_fract_z
Nd1 0.000 0.245 0.000
Nd2 0.000 0.755 0.500
Sm1 0.000 0.418 0.498
Sm2 0.000 0.582 0.998
Sm3 0.500 0.241 0.664
Sm4 0.500 0.759 0.164
Y1 0.000 0.078 0.482
Y2 0.000 0.922 0.982
Y3 0.500 0.411 0.165
Y4 0.500 0.589 0.665
Sc1 0.500 0.080 0.160
Sc2 0.500 0.920 0.660
```

---

2.
This entry pairs a crystal structure of Ce2Sc3Si4 with its simulated powder diffraction line list. Radiation: Cu Kα X-rays. Structure: a DFT-relaxed cell (GGA-PBE, Alexandria).

Peak list (8 most intense, 2θ from 15° to 90°, low angle first)
2theta  I/Imax
17.34  85
31.93  73
32.50  73
34.51  100
34.84  91
35.06  81
38.68  73
39.50  52

Atomic structure:
```
data_Ce2Sc3Si4
_cell_length_a 7.432
_cell_length_b 7.431
_cell_length_c 7.191
_cell_angle_alpha 90.00
_cell_angle_beta 108.54
_cell_angle_gamma 90.00
_space_group_name_H-M_alt 'P 1'
_space_group_IT_number 1
loop_
_space_group_symop_operation_xyz
'x,y,z'
loop_
_atom_site_label
_atom_site_fract_x
_atom_site_fract_y
_atom_site_fract_z
Ce1 0.191 0.170 0.072
Ce2 0.191 0.330 0.572
Ce3 0.809 0.670 0.428
Ce4 0.809 0.830 0.928
Sc1 0.249 0.678 0.250
Sc2 0.249 0.822 0.750
Sc3 0.500 0.000 0.500
Sc4 0.500 0.500 0.000
Sc5 0.751 0.178 0.250
Sc6 0.751 0.322 0.750
Si1 0.078 0.535 0.869
Si2 0.078 0.965 0.369
Si3 0.494 0.122 0.872
Si4 0.494 0.378 0.372
Si5 0.506 0.622 0.628
Si6 0.506 0.878 0.128
Si7 0.922 0.035 0.631
Si8 0.922 0.465 0.131
```

---

3.
This entry pairs a crystal structure of La2AgMo with its simulated powder diffraction line list. Radiation: Cu Kα X-rays. Structure: a DFT-relaxed cell (GGA-PBE, Alexandria).

Peak list (8 most intense, 2θ from 15° to 90°, low angle first)
2theta  I/Imax
33.74  52
34.26  100
48.45  18
49.99  8
60.67  37
61.67  18
72.17  11
80.91  8

Atomic structure:
```
data_La2AgMo
_cell_length_a 5.314
_cell_length_b 5.314
_cell_length_c 3.649
_cell_angle_alpha 90.00
_cell_angle_beta 90.00
_cell_angle_gamma 90.06
_space_group_name_H-M_alt 'P 1'
_space_group_IT_number 1
loop_
_space_group_symop_operation_xyz
'x,y,z'
loop_
_atom_site_label
_atom_site_fract_x
_atom_site_fract_y
_atom_site_fract_z
La1 0.000 0.500 0.000
La2 0.500 0.000 0.000
Ag1 0.000 0.000 0.500
Mo1 0.500 0.500 0.500
```